# 1
Starting from a DFT-relaxed cell (PBE, Alexandria), the X-ray powder pattern of Na2GaHg3 was calculated for CuKα.
Peak positions follow from Bragg's law for the DFT cell and can differ from measured ones.

Largest 8 diffraction maxima, sorted by position, 2θ = 10–80°:
| 2theta | intensity | index |
| --- | --- | --- |
| 20.4 | 95 | 0 2 2 |
| 27.0 | 82 | 2 0 0 |
| 34.1 | 98 | 2 2 2 |
| 35.7 | 100 | 0 2 6 |
| 35.8 | 49 | 0 4 0 |
| 45.3 | 77 | 2 2 6 |
| 45.4 | 38 | 2 4 0 |
| 67.9 | 46 | 4 2 6 |

Atomic structure:
```
data_Na2GaHg3
_cell_length_a 6.6024
_cell_length_b 10.0316
_cell_length_c 17.4673
_cell_angle_alpha 90.00
_cell_angle_beta 90.00
_cell_angle_gamma 90.00
_symmetry_space_group_name_H-M 'F m m m'
_symmetry_Int_Tables_number 69
_symmetry_space_group_name_Hall '-F 2 2'
loop_
_atom_site_label
_atom_site_fract_x
_atom_site_fract_y
_atom_site_fract_z
Na1 0.2424 0.0000 0.0000
Na2 0.2500 0.2500 0.2500
Ga1 0.0000 0.0000 0.3329
Hg1 0.0000 0.0000 0.1717
Hg2 0.0000 0.2403 0.4141
```

# 2
Starting from a DFT-relaxed cell (PBE, Alexandria), the X-ray powder pattern of NaGaHg3 was calculated for CuKα.
Peak positions follow from Bragg's law for the DFT cell and can differ from measured ones.

Largest 8 diffraction maxima, sorted by position, 2θ = 10–80°:
| 2theta | intensity | index |
| --- | --- | --- |
| 13.8 | 54 | 2 0 0 |
| 24.8 | 31 | 1 3 0 |
| 26.3 | 28 | 2 0 -2 |
| 27.9 | 27 | 4 0 0 |
| 31.8 | 98 | 3 3 0 |
| 33.0 | 40 | 4 0 -2 |
| 33.1 | 43 | 2 0 2 |
| 35.1 | 100 | 1 3 -2 |

Atomic structure:
```
data_NaGaHg3
_cell_length_a 13.2854
_cell_length_b 11.2215
_cell_length_c 7.0130
_cell_angle_alpha 90.00
_cell_angle_beta 105.54
_cell_angle_gamma 90.00
_symmetry_space_group_name_H-M 'C 1 2/c 1'
_symmetry_Int_Tables_number 15
_symmetry_space_group_name_Hall '-C 2yc'
loop_
_atom_site_label
_atom_site_fract_x
_atom_site_fract_y
_atom_site_fract_z
Na1 0.0000 0.0315 0.2500
Na2 0.0000 0.3056 0.7500
Ga1 0.1019 0.3067 0.3158
Hg1 0.1324 0.4976 0.5781
Hg2 0.1688 0.1433 0.6264
Hg3 0.1854 0.1404 0.0822
```

# 3
Starting from a DFT-relaxed cell (PBE, Alexandria), the X-ray powder pattern of Na2GaHgO4 was calculated for CuKα.
Peak positions follow from Bragg's law for the DFT cell and can differ from measured ones.

Largest 8 diffraction maxima, sorted by position, 2θ = 10–80°:
| 2theta | intensity | index |
| --- | --- | --- |
| 16.2 | 100 | 0 0 1 |
| 16.6 | 18 | 1 0 0 |
| 32.1 | 35 | 1 1 0 |
| 32.7 | 22 | 0 0 2 |
| 33.5 | 21 | 2 0 0 |
| 33.8 | 39 | 1 1 -1 |
| 38.3 | 62 | 1 1 1 |
| 40.0 | 26 | 2 0 -2 |

Atomic structure:
```
data_Na2GaHgO4
_cell_length_a 5.5674
_cell_length_b 3.2744
_cell_length_c 5.7109
_cell_angle_alpha 90.00
_cell_angle_beta 106.33
_cell_angle_gamma 90.00
_symmetry_space_group_name_H-M 'P 1 2/m 1'
_symmetry_Int_Tables_number 10
_symmetry_space_group_name_Hall '-P 2y'
loop_
_atom_site_label
_atom_site_fract_x
_atom_site_fract_y
_atom_site_fract_z
Na1 0.0000 0.0000 0.0000
Na2 0.5000 0.5000 0.0000
Ga1 0.0000 0.5000 0.5000
Hg1 0.5000 0.0000 0.5000
O1 0.2079 0.5000 0.2796
O2 0.2205 0.0000 0.7013
```

# 4
Starting from a DFT-relaxed cell (PBE, Alexandria), the X-ray powder pattern of Nd4GaHg2 was calculated for CuKα.
Peak positions follow from Bragg's law for the DFT cell and can differ from measured ones.

Largest 8 diffraction maxima, sorted by position, 2θ = 10–80°:
| 2theta | intensity | index |
| --- | --- | --- |
| 20.4 | 31 | 0 1 2 |
| 33.6 | 100 | 1 1 0 |
| 34.0 | 97 | 0 1 8 |
| 39.8 | 14 | 1 1 6 |
| 48.6 | 36 | 2 0 8 |
| 60.1 | 19 | 3 0 0 |
| 60.4 | 37 | 1 2 8 |
| 61.1 | 18 | 1 0 16 |

Atomic structure:
```
data_Nd4GaHg2
_cell_length_a 5.3296
_cell_length_b 5.3296
_cell_length_c 25.7074
_cell_angle_alpha 90.00
_cell_angle_beta 90.00
_cell_angle_gamma 120.00
_symmetry_space_group_name_H-M 'R -3 m'
_symmetry_Int_Tables_number 166
_symmetry_space_group_name_Hall '-R 3 2"'
loop_
_atom_site_label
_atom_site_fract_x
_atom_site_fract_y
_atom_site_fract_z
Nd1 0.0000 0.0000 0.1230
Nd2 0.0000 0.0000 0.3749
Ga1 0.0000 0.0000 0.5000
Hg1 0.0000 0.0000 0.2497
```

# 5
Starting from a DFT-relaxed cell (PBE, Alexandria), the X-ray powder pattern of Nd5Ga2Hg was calculated for CuKα.
Peak positions follow from Bragg's law for the DFT cell and can differ from measured ones.

Largest 8 diffraction maxima, sorted by position, 2θ = 10–80°:
| 2theta | intensity | index |
| --- | --- | --- |
| 32.4 | 100 | 2 0 2 |
| 36.0 | 38 | 2 2 0 |
| 40.7 | 13 | 0 0 4 |
| 51.8 | 13 | 4 0 0 |
| 55.4 | 22 | 2 2 4 |
| 62.4 | 30 | 4 2 2 |
| 67.9 | 12 | 4 0 4 |
| 68.9 | 11 | 2 0 6 |

Atomic structure:
```
data_Nd5Ga2Hg
_cell_length_a 7.0632
_cell_length_b 7.0632
_cell_length_c 8.8666
_cell_angle_alpha 90.00
_cell_angle_beta 90.00
_cell_angle_gamma 90.00
_symmetry_space_group_name_H-M 'I 4/m m m'
_symmetry_Int_Tables_number 139
_symmetry_space_group_name_Hall '-I 4 2'
loop_
_atom_site_label
_atom_site_fract_x
_atom_site_fract_y
_atom_site_fract_z
Nd1 0.0000 0.0000 0.0000
Nd2 0.2500 0.2500 0.2500
Ga1 0.0000 0.5000 0.0000
Hg1 0.0000 0.0000 0.5000
```

# 6
Starting from a DFT-relaxed cell (PBE, Alexandria), the X-ray powder pattern of Nd5GaHg3 was calculated for CuKα.
Peak positions follow from Bragg's law for the DFT cell and can differ from measured ones.

Largest 8 diffraction maxima, sorted by position, 2θ = 10–80°:
| 2theta | intensity | index |
| --- | --- | --- |
| 26.6 | 11 | 0 0 2 |
| 31.9 | 39 | 2 1 1 |
| 32.8 | 100 | 3 0 0 |
| 42.0 | 15 | 3 1 1 |
| 47.1 | 13 | 2 2 2 |
| 50.4 | 17 | 2 1 3 |
| 61.5 | 9 | 4 2 1 |
| 65.4 | 13 | 3 0 4 |

Atomic structure:
```
data_Nd5GaHg3
_cell_length_a 9.4538
_cell_length_b 9.4538
_cell_length_c 6.6968
_cell_angle_alpha 90.00
_cell_angle_beta 90.00
_cell_angle_gamma 120.00
_symmetry_space_group_name_H-M 'P 63/m c m'
_symmetry_Int_Tables_number 193
_symmetry_space_group_name_Hall '-P 6c 2'
loop_
_atom_site_label
_atom_site_fract_x
_atom_site_fract_y
_atom_site_fract_z
Nd1 0.0000 0.2723 0.2500
Nd2 0.3333 0.6667 0.0000
Ga1 0.0000 0.0000 0.0000
Hg1 0.0000 0.3860 0.7500
```

# 7
Starting from a DFT-relaxed cell (PBE, Alexandria), the X-ray powder pattern of Nd4Ga12Hg was calculated for CuKα.
Peak positions follow from Bragg's law for the DFT cell and can differ from measured ones.

Largest 8 diffraction maxima, sorted by position, 2θ = 10–80°:
| 2theta | intensity | index |
| --- | --- | --- |
| 28.2 | 68 | 2 2 0 |
| 31.6 | 24 | 3 1 0 |
| 34.8 | 100 | 2 2 2 |
| 37.6 | 41 | 3 2 1 |
| 40.4 | 90 | 4 0 0 |
| 47.7 | 27 | 3 3 2 |
| 58.4 | 48 | 4 4 0 |
| 69.8 | 25 | 6 2 2 |

Atomic structure:
```
data_Nd4Ga12Hg
_cell_length_a 8.9411
_cell_length_b 8.9411
_cell_length_c 8.9411
_cell_angle_alpha 90.00
_cell_angle_beta 90.00
_cell_angle_gamma 90.00
_symmetry_space_group_name_H-M 'I m -3 m'
_symmetry_Int_Tables_number 229
_symmetry_space_group_name_Hall '-I 4 2 3'
loop_
_atom_site_label
_atom_site_fract_x
_atom_site_fract_y
_atom_site_fract_z
Nd1 0.2500 0.2500 0.2500
Ga1 0.0000 0.0000 0.3151
Ga2 0.0000 0.2500 0.5000
Hg1 0.0000 0.0000 0.0000
```

# 8
Starting from a DFT-relaxed cell (PBE, Alexandria), the X-ray powder pattern of Nd3GaHg5 was calculated for CuKα.
Peak positions follow from Bragg's law for the DFT cell and can differ from measured ones.

Largest 8 diffraction maxima, sorted by position, 2θ = 10–80°:
| 2theta | intensity | index |
| --- | --- | --- |
| 11.2 | 5 | 1 0 0 |
| 27.6 | 4 | 0 0 2 |
| 34.0 | 100 | 3 0 0 |
| 44.4 | 6 | 3 0 2 |
| 48.9 | 17 | 2 2 2 |
| 61.0 | 25 | 3 3 0 |
| 68.1 | 14 | 3 0 4 |
| 71.7 | 5 | 6 0 0 |

Atomic structure:
```
data_Nd3GaHg5
_cell_length_a 9.1155
_cell_length_b 9.1155
_cell_length_c 6.4630
_cell_angle_alpha 90.00
_cell_angle_beta 90.00
_cell_angle_gamma 120.00
_symmetry_space_group_name_H-M 'P 63/m c m'
_symmetry_Int_Tables_number 193
_symmetry_space_group_name_Hall '-P 6c 2'
loop_
_atom_site_label
_atom_site_fract_x
_atom_site_fract_y
_atom_site_fract_z
Nd1 0.0000 0.3118 0.2500
Ga1 0.0000 0.0000 0.0000
Hg1 0.0000 0.3517 0.7500
Hg2 0.3333 0.6667 0.0000
```

# 9
Starting from a DFT-relaxed cell (PBE, Alexandria), the X-ray powder pattern of Nd3Ga2Hg was calculated for CuKα.
Peak positions follow from Bragg's law for the DFT cell and can differ from measured ones.

Largest 8 diffraction maxima, sorted by position, 2θ = 10–80°:
| 2theta | intensity | index |
| --- | --- | --- |
| 33.6 | 100 | 1 0 3 |
| 34.4 | 48 | 1 1 0 |
| 47.0 | 9 | 0 0 6 |
| 49.4 | 17 | 2 0 0 |
| 59.6 | 18 | 1 1 6 |
| 61.1 | 36 | 2 1 3 |
| 70.6 | 11 | 2 0 6 |
| 78.7 | 7 | 1 0 9 |

Atomic structure:
```
data_Nd3Ga2Hg
_cell_length_a 3.6868
_cell_length_b 3.6868
_cell_length_c 11.5918
_cell_angle_alpha 90.00
_cell_angle_beta 90.00
_cell_angle_gamma 90.00
_symmetry_space_group_name_H-M 'P 4/m m m'
_symmetry_Int_Tables_number 123
_symmetry_space_group_name_Hall '-P 4 2'
loop_
_atom_site_label
_atom_site_fract_x
_atom_site_fract_y
_atom_site_fract_z
Nd1 0.0000 0.0000 0.0000
Nd2 0.0000 0.0000 0.3214
Ga1 0.5000 0.5000 0.1644
Hg1 0.5000 0.5000 0.5000
```

# 10
Starting from a DFT-relaxed cell (PBE, Alexandria), the X-ray powder pattern of GaSnHgO4 was calculated for CuKα.
Peak positions follow from Bragg's law for the DFT cell and can differ from measured ones.

Largest 8 diffraction maxima, sorted by position, 2θ = 10–80°:
| 2theta | intensity | index |
| --- | --- | --- |
| 13.7 | 27 | 0 0 1 |
| 23.2 | 73 | 1 1 1 |
| 30.9 | 100 | 0 2 0 |
| 31.3 | 21 | 4 0 -1 |
| 33.9 | 36 | 3 1 1 |
| 35.5 | 19 | 3 1 -2 |
| 44.5 | 23 | 4 2 -1 |
| 47.4 | 23 | 1 1 3 |

Atomic structure:
```
data_GaSnHgO4
_cell_length_a 11.6750
_cell_length_b 5.7877
_cell_length_c 6.6718
_cell_angle_alpha 90.00
_cell_angle_beta 103.83
_cell_angle_gamma 90.00
_symmetry_space_group_name_H-M 'C 1 2/m 1'
_symmetry_Int_Tables_number 12
_symmetry_space_group_name_Hall '-C 2y'
loop_
_atom_site_label
_atom_site_fract_x
_atom_site_fract_y
_atom_site_fract_z
Ga1 0.1183 0.0000 0.2690
Sn1 0.2045 0.0000 0.8619
Hg1 0.1069 0.5000 0.4841
O1 0.0342 0.0000 0.7277
O2 0.1759 0.2273 0.1108
O3 0.2140 0.0000 0.5393
```

# 11
Starting from a DFT-relaxed cell (PBE, Alexandria), the X-ray powder pattern of Pa4Ga12Hg was calculated for CuKα.
Peak positions follow from Bragg's law for the DFT cell and can differ from measured ones.

Largest 8 diffraction maxima, sorted by position, 2θ = 10–80°:
| 2theta | intensity | index |
| --- | --- | --- |
| 28.9 | 94 | 2 2 0 |
| 35.5 | 100 | 2 2 2 |
| 38.5 | 23 | 3 2 1 |
| 41.3 | 79 | 4 0 0 |
| 51.1 | 29 | 4 2 2 |
| 59.8 | 46 | 4 4 0 |
| 67.7 | 27 | 6 2 0 |
| 71.5 | 29 | 6 2 2 |

Atomic structure:
```
data_Pa4Ga12Hg
_cell_length_a 8.7523
_cell_length_b 8.7523
_cell_length_c 8.7523
_cell_angle_alpha 90.00
_cell_angle_beta 90.00
_cell_angle_gamma 90.00
_symmetry_space_group_name_H-M 'I m -3 m'
_symmetry_Int_Tables_number 229
_symmetry_space_group_name_Hall '-I 4 2 3'
loop_
_atom_site_label
_atom_site_fract_x
_atom_site_fract_y
_atom_site_fract_z
Pa1 0.2500 0.2500 0.2500
Ga1 0.0000 0.0000 0.3103
Ga2 0.0000 0.2500 0.5000
Hg1 0.0000 0.0000 0.0000
```

# 12
Starting from a DFT-relaxed cell (PBE, Alexandria), the X-ray powder pattern of GaHg3Pb6 was calculated for CuKα.
Peak positions follow from Bragg's law for the DFT cell and can differ from measured ones.

Largest 8 diffraction maxima, sorted by position, 2θ = 10–80°:
| 2theta | intensity | index |
| --- | --- | --- |
| 30.3 | 34 | 0 1 3 |
| 31.4 | 64 | 3 1 0 |
| 31.7 | 85 | 2 1 -3 |
| 32.2 | 97 | 3 1 -2 |
| 33.3 | 100 | 1 1 3 |
| 34.2 | 31 | 3 1 1 |
| 35.4 | 98 | 0 2 0 |
| 55.0 | 29 | 4 0 4 |

Atomic structure:
```
data_GaHg3Pb6
_cell_length_a 10.6921
_cell_length_b 5.0755
_cell_length_c 11.2261
_cell_angle_alpha 90.00
_cell_angle_beta 104.79
_cell_angle_gamma 90.00
_symmetry_space_group_name_H-M 'P 1 21/m 1'
_symmetry_Int_Tables_number 11
_symmetry_space_group_name_Hall '-P 2yb'
loop_
_atom_site_label
_atom_site_fract_x
_atom_site_fract_y
_atom_site_fract_z
Ga1 0.1956 0.2500 0.1390
Hg1 0.0561 0.2500 0.3196
Hg2 0.2959 0.7500 0.6023
Hg3 0.3532 0.2500 0.7976
Pb1 0.0036 0.7500 0.1178
Pb2 0.0901 0.2500 0.6011
Pb3 0.2244 0.7500 0.9391
Pb4 0.3562 0.7500 0.2621
Pb5 0.3831 0.2500 0.4647
Pb6 0.4588 0.2500 0.0952
```